Calculated powder X-ray diffraction pattern of HoCr6Ge6 for Cu Kα, from a cell relaxed with GGA-PBE.

Main lines, in order of rising 2θ (15° ≤ 2θ ≤ 90°):
- 35.14 deg, intensity 76.9
- 38.32 deg, intensity 44.9
- 40.80 deg, intensity 45.7
- 41.50 deg, intensity 100.0
- 46.51 deg, intensity 33.8
- 48.44 deg, intensity 32.6

Cell and atoms:
```
HoCr6Ge6
1.0
5.1078 0.0000 0.0000
-2.5539 4.4235 0.0000
0.0000 0.0000 8.3147
Ho Cr Ge
1 6 6
Direct
0.0000 0.0000 0.0000
0.0000 0.5000 0.2503
0.0000 0.5000 0.7497
0.5000 0.0000 0.2503
0.5000 0.0000 0.7497
0.5000 0.5000 0.2503
0.5000 0.5000 0.7497
0.0000 0.0000 0.3456
0.0000 0.0000 0.6544
0.3333 0.6667 0.0000
0.3333 0.6667 0.5000
0.6667 0.3333 0.0000
0.6667 0.3333 0.5000
```

Calculated powder X-ray diffraction pattern of Sr3BN3 for Cu Kα, from a cell relaxed with GGA-PBE.

Main lines, in order of rising 2θ (15° ≤ 2θ ≤ 90°):
- 24.10 deg, intensity 31.6
- 29.56 deg, intensity 100.0
- 32.77 deg, intensity 23.8
- 34.10 deg, intensity 35.7
- 37.18 deg, intensity 44.1
- 51.34 deg, intensity 32.8

Cell and atoms:
```
Sr3BN3
1.0
7.3870 0.0000 0.0000
-3.6935 6.3973 0.0000
0.0000 0.0000 5.2582
Sr B N
6 2 6
Direct
0.0704 0.3702 0.2500
0.2997 0.9296 0.2500
0.3702 0.2997 0.7500
0.6298 0.7003 0.2500
0.7003 0.0704 0.7500
0.9296 0.6298 0.7500
0.3333 0.6667 0.7500
0.6667 0.3333 0.2500
0.1381 0.4475 0.7500
0.3094 0.8619 0.7500
0.4475 0.3094 0.2500
0.5525 0.6906 0.7500
0.6906 0.1381 0.2500
0.8619 0.5525 0.2500
```

Calculated powder X-ray diffraction pattern of YU2S3O2 for Cu Kα, from a cell relaxed with GGA-PBE.

Main lines, in order of rising 2θ (15° ≤ 2θ ≤ 90°):
- 25.17 deg, intensity 29.0
- 26.55 deg, intensity 100.0
- 31.53 deg, intensity 57.6
- 33.22 deg, intensity 58.6
- 42.13 deg, intensity 39.6
- 55.42 deg, intensity 28.6

Cell and atoms:
```
YU2S3O2
1.0
-1.9067 1.9067 10.6151
1.9067 -1.9067 10.6151
1.9067 1.9067 -10.6151
Y U S O
1 2 3 2
Direct
0.0000 0.0000 0.0000
0.3130 0.3130 0.0000
0.6869 0.6869 0.0000
0.1288 0.1288 0.0000
0.5000 0.5000 0.0000
0.8712 0.8712 0.0000
0.2500 0.7500 0.5000
0.7500 0.2500 0.5000
```